# ZnFeO3
Calculated X-ray diffraction stick pattern, Cu Ka. Input: the GGA+U geometry in the Materials Project.

The 10 most intense peaks (10° ≤ 2θ ≤ 90°), sorted by position:
- 34.02 deg, intensity 100.0
- 34.46 deg, intensity 21.7
- 34.80 deg, intensity 22.2
- 47.95 deg, intensity 14.6
- 49.78 deg, intensity 22.6
- 60.38 deg, intensity 11.5
- 60.60 deg, intensity 11.8
- 61.45 deg, intensity 15.7
- 61.89 deg, intensity 25.4
- 71.61 deg, intensity 11.0

Structure:
Cell: 5.2054 7.5888 5.1564 Å, 90.00 90.00 90.00°
Fractional positions:
Zn 0.0447 0.2500 0.0031
Zn 0.4553 0.7500 0.5031
Zn 0.5447 0.2500 0.4969
Zn 0.9553 0.7500 0.9969
Fe 0.0000 0.0000 0.5000
Fe 0.0000 0.5000 0.5000
Fe 0.5000 0.0000 0.0000
Fe 0.5000 0.5000 0.0000
O 0.0684 0.7500 0.3797
O 0.1869 0.5660 0.8189
O 0.1869 0.9340 0.8189
O 0.3131 0.0660 0.3189
O 0.3131 0.4340 0.3189
O 0.4316 0.2500 0.8797
O 0.5684 0.7500 0.1203
O 0.6869 0.5660 0.6811
O 0.6869 0.9340 0.6811
O 0.8131 0.0660 0.1811
O 0.8131 0.4340 0.1811
O 0.9316 0.2500 0.6203